Simulated powder diffraction line list of Pr3Cr10N11 for CuKα, from a PBE-relaxed structure.
Peak positions follow from Bragg's law for the DFT cell and can differ from measured ones.

```
data_Pr3Cr10N11
_chemical_formula_sum 'Pr24 Cr80 N88'
_symmetry_space_group_name_H-M 'F m -3 m'
_symmetry_Int_Tables_number 225
_symmetry_space_group_name_Hall '-F 4 2 3'
_cell_length_a 12.8671
_cell_length_b 12.8671
_cell_length_c 12.8671
_cell_angle_alpha 90.00
_cell_angle_beta 90.00
_cell_angle_gamma 90.00
loop_
_atom_site_label
_atom_site_type_symbol
_atom_site_fract_x
_atom_site_fract_y
_atom_site_fract_z
_atom_site_occupancy
Pr1 Pr 0.0000 0.0000 0.1984 1
Cr1 Cr 0.0958 0.0958 0.4042 1
Cr2 Cr 0.1016 0.2500 0.2500 1
N1 N 0.0000 0.0000 0.0000 1
N2 N 0.0000 0.0000 0.5000 1
N3 N 0.0000 0.1724 0.3276 1
N4 N 0.1471 0.1471 0.1471 1
```

Peak list (10 most intense, 2θ = 15–90°, most intense first)
(hkl)  d/Å  intensity
3 3 3  2.476  100
4 2 2  2.626  65
6 6 0  1.516  43
3 3 1  2.952  24
5 5 3  1.675  22
7 7 3  1.244  19
10 4 4  1.120  19
2 2 2  3.714  18
4 4 0  2.275  18
4 4 2  2.145  17


Simulated powder diffraction line list of CeMgAu2 for CuKα, from a PBE-relaxed structure.
Peak positions follow from Bragg's law for the DFT cell and can differ from measured ones.

```
data_CeMgAu2
_chemical_formula_sum 'Ce4 Mg4 Au8'
_symmetry_space_group_name_H-M 'F m -3 m'
_symmetry_Int_Tables_number 225
_symmetry_space_group_name_Hall '-F 4 2 3'
_cell_length_a 7.1058
_cell_length_b 7.1058
_cell_length_c 7.1058
_cell_angle_alpha 90.00
_cell_angle_beta 90.00
_cell_angle_gamma 90.00
loop_
_atom_site_label
_atom_site_type_symbol
_atom_site_fract_x
_atom_site_fract_y
_atom_site_fract_z
_atom_site_occupancy
Ce1 Ce 0.0000 0.0000 0.0000 1
Mg1 Mg 0.0000 0.0000 0.5000 1
Au1 Au 0.2500 0.2500 0.2500 1
```

Peak list (10 most intense, 2θ = 15–90°, most intense first)
(hkl)  d/Å  intensity
2 2 0  2.512  100
4 2 2  1.450  37
2 0 0  3.553  20
4 0 0  1.776  18
6 2 0  1.124  17
4 4 0  1.256  12
1 1 1  4.103  10
4 2 0  1.589  9
2 2 2  2.051  6
3 1 1  2.142  5


Simulated powder diffraction line list of Te2Au for CuKα, from a PBE-relaxed structure.
Peak positions follow from Bragg's law for the DFT cell and can differ from measured ones.

```
data_Te2Au
_chemical_formula_sum 'Te4 Au2'
_symmetry_space_group_name_H-M 'C 1 2/m 1'
_symmetry_Int_Tables_number 12
_cell_length_a 7.3029
_cell_length_b 4.2648
_cell_length_c 5.1570
_cell_angle_alpha 90.00
_cell_angle_beta 90.11
_cell_angle_gamma 90.00
loop_
_symmetry_equiv_pos_as_xyz
'x,y,z'
'-x,-y,-z'
'-x,y,-z'
'x,-y,z'
'x+1/2,y+1/2,z'
'-x+1/2,-y+1/2,-z'
'-x+1/2,y+1/2,-z'
'x+1/2,-y+1/2,z'
loop_
_atom_site_label
_atom_site_type_symbol
_atom_site_fract_x
_atom_site_fract_y
_atom_site_fract_z
_atom_site_occupancy
Te1 Te 0.1774 0.0000 0.2904 1
Au1 Au 0.0000 0.5000 0.0000 1
```

Peak list (10 most intense, 2θ = 15–90°, most intense first)
(hkl)  d/Å  intensity
1 1 1  2.996  100
3 1 0  2.113  76
2 0 -1  2.983  47
2 0 2  2.105  23
0 2 0  2.132  20
2 2 -1  1.735  19
0 0 1  5.157  17
2 2 2  1.498  15
4 2 1  1.339  15
5 1 2  1.217  14


Simulated powder diffraction line list of Nd4Te3N2 for CuKα, from a PBE-relaxed structure.
Peak positions follow from Bragg's law for the DFT cell and can differ from measured ones.

```
data_Nd4Te3N2
_chemical_formula_sum 'Nd16 Te12 N8'
_symmetry_space_group_name_H-M 'P n m a'
_symmetry_Int_Tables_number 62
_cell_length_a 7.4304
_cell_length_b 11.7803
_cell_length_c 11.4320
_cell_angle_alpha 90.00
_cell_angle_beta 90.00
_cell_angle_gamma 90.00
loop_
_symmetry_equiv_pos_as_xyz
'x,y,z'
'-x,-y,-z'
'-x+1/2,-y,z+1/2'
'x+1/2,y,-z+1/2'
'x+1/2,-y+1/2,-z+1/2'
'-x+1/2,y+1/2,z+1/2'
'-x,y+1/2,-z'
'x,-y+1/2,z'
loop_
_atom_site_label
_atom_site_type_symbol
_atom_site_fract_x
_atom_site_fract_y
_atom_site_fract_z
_atom_site_occupancy
Nd1 Nd 0.0905 0.2500 0.1588 1
Nd2 Nd 0.1452 0.0494 0.8904 1
Nd3 Nd 0.2305 0.2500 0.5315 1
Te1 Te 0.0655 0.5792 0.6357 1
Te2 Te 0.0829 0.7500 0.2746 1
N1 N 0.0529 0.6219 0.9676 1
```

Peak list (10 most intense, 2θ = 15–90°, most intense first)
(hkl)  d/Å  intensity
1 3 2  2.967  100
2 2 1  3.030  76
1 1 3  3.258  45
1 3 1  3.322  44
1 2 2  3.591  36
2 0 3  2.660  33
0 2 4  2.571  28
2 3 6  1.557  22
3 1 1  2.371  21
0 6 0  1.964  20